1.
# Rb6Al4Sb6O21
Simulated powder X-ray diffraction pattern, Cu Ka. Input: a crystal structure in the Materials Project, relaxed with GGA-PBE.
Kinematic intensities with the Lorentz-polarization factor, no thermal factor.

Peak list (10 most intense, 10° ≤ 2θ ≤ 90°, sorted by position)
17.6°, 5.048 Å, I = 25; 20.3°, 4.370 Å, I = 42; 26.6°, 3.348 Å, I = 24; 26.8°, 3.331 Å, I = 24; 27.0°, 3.302 Å, I = 100; 30.1°, 2.968 Å, I = 66; 31.0°, 2.889 Å, I = 32; 35.6°, 2.521 Å, I = 19; 41.4°, 2.183 Å, I = 29; 52.7°, 1.737 Å, I = 16

Atomic structure:
```
Rb6Al4Sb6O21
1.0
15.564 -2.889 0.000
15.564 2.889 0.000
-0.045 0.000 8.728
Rb Al Sb O
6 4 6 21
Direct
0.056 0.056 0.409
0.274 0.274 0.607
0.384 0.384 0.385
0.616 0.616 0.615
0.726 0.726 0.393
0.944 0.944 0.591
0.163 0.163 0.204
0.498 0.498 0.802
0.502 0.502 0.198
0.837 0.837 0.796
0.054 0.054 0.833
0.276 0.276 0.150
0.391 0.391 0.847
0.609 0.609 0.153
0.724 0.724 0.850
0.946 0.946 0.167
0.096 0.506 0.305
0.104 0.104 0.709
0.113 0.615 0.726
0.171 0.171 0.001
0.218 0.218 0.255
0.227 0.727 0.276
0.273 0.773 0.724
0.385 0.887 0.274
0.444 0.444 0.727
0.494 0.904 0.695
0.500 0.500 0.000
0.506 0.096 0.305
0.556 0.556 0.273
0.615 0.113 0.726
0.727 0.227 0.276
0.773 0.273 0.724
0.782 0.782 0.745
0.829 0.829 0.999
0.887 0.385 0.274
0.896 0.896 0.291
0.904 0.494 0.695
```

=====

2.
# Rb6Al2Sb6O21
Simulated powder X-ray diffraction pattern, Cu Ka. Input: a crystal structure in the Materials Project, relaxed with GGA-PBE.
Kinematic intensities with the Lorentz-polarization factor, no thermal factor.

Peak list (10 most intense, 10° ≤ 2θ ≤ 90°, sorted by position)
16.9°, 5.251 Å, I = 18; 17.7°, 5.012 Å, I = 34; 20.6°, 4.312 Å, I = 21; 27.1°, 3.293 Å, I = 51; 27.6°, 3.232 Å, I = 100; 30.0°, 2.983 Å, I = 59; 31.4°, 2.852 Å, I = 28; 40.4°, 2.231 Å, I = 21; 41.9°, 2.156 Å, I = 41; 53.1°, 1.725 Å, I = 20

Atomic structure:
```
Rb6Al2Sb6O21
1.0
15.752 -2.852 0.000
15.752 2.852 0.000
-0.017 0.000 8.456
Rb Al Sb O
6 2 6 21
Direct
0.051 0.051 0.378
0.283 0.283 0.603
0.395 0.395 0.393
0.605 0.605 0.607
0.717 0.717 0.397
0.949 0.949 0.622
0.166 0.166 0.801
0.834 0.834 0.199
0.059 0.059 0.862
0.276 0.276 0.158
0.386 0.386 0.871
0.614 0.614 0.129
0.724 0.724 0.842
0.941 0.941 0.138
0.056 0.558 0.271
0.112 0.112 0.737
0.154 0.579 0.701
0.156 0.156 0.010
0.193 0.747 0.277
0.227 0.227 0.289
0.253 0.807 0.723
0.421 0.846 0.299
0.437 0.437 0.735
0.442 0.944 0.729
0.500 0.500 0.000
0.558 0.056 0.271
0.563 0.563 0.265
0.579 0.154 0.701
0.747 0.193 0.277
0.773 0.773 0.711
0.807 0.253 0.723
0.844 0.844 0.990
0.846 0.421 0.299
0.888 0.888 0.263
0.944 0.442 0.729
```

=====

3.
# RbAlSi3O8
Simulated powder X-ray diffraction pattern, Cu Ka. Input: a crystal structure in the Materials Project, relaxed with GGA-PBE.
Kinematic intensities with the Lorentz-polarization factor, no thermal factor.

Peak list (10 most intense, 10° ≤ 2θ ≤ 90°, sorted by position)
22.9°, 3.887 Å, I = 62; 24.3°, 3.657 Å, I = 33; 25.5°, 3.487 Å, I = 61; 25.9°, 3.445 Å, I = 100; 26.7°, 3.337 Å, I = 34; 27.4°, 3.257 Å, I = 45; 29.1°, 3.067 Å, I = 69; 31.9°, 2.802 Å, I = 30; 33.5°, 2.677 Å, I = 31; 33.8°, 2.649 Å, I = 37

Atomic structure:
```
RbAlSi3O8
1.0
4.468 -6.657 0.000
4.468 6.657 0.000
-3.136 0.000 6.514
Rb Al Si O
2 2 6 16
Direct
0.204 0.204 0.356
0.796 0.796 0.644
0.335 0.111 0.848
0.889 0.665 0.152
0.101 0.355 0.849
0.292 0.693 0.278
0.307 0.708 0.722
0.645 0.899 0.151
0.672 0.304 0.273
0.696 0.328 0.727
0.145 0.783 0.236
0.149 0.176 0.783
0.169 0.495 0.721
0.206 0.476 0.099
0.217 0.855 0.764
0.337 0.663 0.500
0.454 0.227 0.114
0.493 0.170 0.717
0.505 0.831 0.279
0.524 0.794 0.901
0.658 0.342 0.500
0.741 0.135 0.216
0.773 0.546 0.886
0.824 0.851 0.217
0.830 0.507 0.283
0.865 0.259 0.784
```

=====

4.
# RbAlSiO4
Simulated powder X-ray diffraction pattern, Cu Ka. Input: a crystal structure in the Materials Project, relaxed with GGA-PBE.
Kinematic intensities with the Lorentz-polarization factor, no thermal factor.

Peak list (10 most intense, 10° ≤ 2θ ≤ 90°, sorted by position)
27.2°, 3.280 Å, I = 49; 27.7°, 3.222 Å, I = 100; 30.4°, 2.940 Å, I = 11; 33.3°, 2.693 Å, I = 40; 39.1°, 2.304 Å, I = 16; 40.5°, 2.227 Å, I = 13; 52.7°, 1.738 Å, I = 13; 58.0°, 1.590 Å, I = 9; 61.3°, 1.512 Å, I = 8; 72.7°, 1.300 Å, I = 9

Atomic structure:
```
RbAlSiO4
1.0
8.908 0.000 0.000
0.000 9.343 0.000
0.000 0.000 5.380
Rb Al Si O
4 4 4 16
Direct
0.001 0.199 0.000
0.499 0.699 0.500
0.501 0.301 0.000
0.999 0.801 0.500
0.185 0.584 0.024
0.315 0.084 0.524
0.685 0.916 0.024
0.815 0.416 0.524
0.192 0.415 0.524
0.308 0.915 0.024
0.692 0.085 0.524
0.808 0.585 0.024
0.010 0.411 0.524
0.244 0.962 0.749
0.245 0.031 0.230
0.246 0.757 0.101
0.254 0.257 0.601
0.255 0.531 0.730
0.256 0.462 0.249
0.490 0.911 0.024
0.510 0.089 0.524
0.744 0.538 0.749
0.745 0.469 0.230
0.746 0.743 0.101
0.754 0.243 0.601
0.755 0.969 0.730
0.756 0.038 0.249
0.990 0.589 0.024
```

=====

5.
# RbAlSi3O8
Simulated powder X-ray diffraction pattern, Cu Ka. Input: a crystal structure in the Materials Project, relaxed with GGA-PBE.
Kinematic intensities with the Lorentz-polarization factor, no thermal factor.

Peak list (10 most intense, 10° ≤ 2θ ≤ 90°, sorted by position)
22.8°, 3.895 Å, I = 37; 23.5°, 3.786 Å, I = 33; 23.8°, 3.733 Å, I = 51; 25.0°, 3.566 Å, I = 50; 25.3°, 3.517 Å, I = 46; 25.6°, 3.485 Å, I = 66; 26.3°, 3.384 Å, I = 100; 27.0°, 3.307 Å, I = 63; 29.1°, 3.073 Å, I = 44; 29.4°, 3.038 Å, I = 46

Atomic structure:
```
RbAlSi3O8
1.0
7.363 0.000 0.000
-1.790 7.578 0.000
-2.152 -3.521 6.971
Rb Al Si O
2 2 6 16
Direct
0.146 0.296 0.293
0.854 0.704 0.707
0.219 0.817 0.203
0.781 0.183 0.797
0.229 0.201 0.825
0.343 0.604 0.847
0.350 0.840 0.606
0.650 0.160 0.394
0.657 0.396 0.153
0.771 0.799 0.175
0.017 0.154 0.851
0.223 0.667 0.983
0.235 0.994 0.679
0.258 0.726 0.373
0.271 0.361 0.737
0.284 0.664 0.671
0.407 0.052 0.297
0.410 0.298 0.039
0.590 0.702 0.961
0.593 0.948 0.703
0.716 0.336 0.329
0.729 0.639 0.263
0.742 0.274 0.627
0.765 0.006 0.321
0.777 0.333 0.017
0.983 0.846 0.149
```

=====

6.
# RbTi3AlO8
Simulated powder X-ray diffraction pattern, Cu Ka. Input: a crystal structure in the Materials Project, relaxed with GGA-PBE.
Kinematic intensities with the Lorentz-polarization factor, no thermal factor.

Peak list (10 most intense, 10° ≤ 2θ ≤ 90°, sorted by position)
24.8°, 3.589 Å, I = 25; 27.8°, 3.208 Å, I = 100; 31.2°, 2.863 Å, I = 16; 36.0°, 2.493 Å, I = 42; 39.7°, 2.268 Å, I = 19; 40.3°, 2.237 Å, I = 46; 47.9°, 1.899 Å, I = 20; 54.3°, 1.691 Å, I = 20; 57.9°, 1.592 Å, I = 20; 66.9°, 1.399 Å, I = 11

Atomic structure:
```
RbTi3AlO8
1.0
2.984 0.000 0.000
1.487 7.165 0.000
1.478 -0.004 7.182
Rb Ti Al O
1 3 1 8
Direct
0.000 0.000 0.000
0.267 0.819 0.513
0.609 0.200 0.483
0.777 0.495 0.835
0.105 0.519 0.189
0.252 0.056 0.361
0.287 0.634 0.714
0.298 0.365 0.960
0.613 0.640 0.058
0.619 0.383 0.298
0.670 0.951 0.638
0.922 0.705 0.373
0.995 0.295 0.633
```